# 1
This entry pairs a crystal structure of PrY3Ag with its calculated powder XRD pattern. Radiation: λ = 1.5418 Å (Cu Kα). Structure: DFT lattice parameters and positions (PBE).
Peak positions follow from Bragg's law for the DFT cell and can differ from measured ones.

Atomic structure:
a = 7.2566 Å, b = 7.2566 Å, c = 7.9298 Å
α = 116.99°, β = 116.99°, γ = 71.63°
Fractional coordinates of all 10 atoms:
Pr (0.0846, 0.0846, 0.2744)
Pr (0.9154, 0.9154, 0.7256)
Y (0.0203, 0.6151, 0.2929)
Y (0.3849, 0.9797, 0.7071)
Y (0.4480, 0.4480, 0.6899)
Y (0.5520, 0.5520, 0.3101)
Y (0.6151, 0.0203, 0.2929)
Y (0.9797, 0.3849, 0.7071)
Ag (0.2418, 0.2418, 0.0648)
Ag (0.7582, 0.7582, 0.9352)

Top 6 peaks for 2θ from 10° to 90°, sorted by position:
20.92 deg, rel. 31
27.14 deg, rel. 34
31.02 deg, rel. 100
31.17 deg, rel. 69
35.41 deg, rel. 87
35.89 deg, rel. 37

=====

# 2
This entry pairs a crystal structure of PmPr3Sb3 with its calculated powder XRD pattern. Radiation: λ = 1.5418 Å (Cu Kα). Structure: DFT lattice parameters and positions (PBE).
Peak positions follow from Bragg's law for the DFT cell and can differ from measured ones.

Atomic structure:
a = 9.5555 Å, b = 9.5555 Å, c = 9.5555 Å
α = 90.00°, β = 90.00°, γ = 90.00°
Fractional coordinates of all 28 atoms:
Pm (0.0705, 0.4295, 0.5705)
Pm (0.4295, 0.5705, 0.0705)
Pm (0.5705, 0.0705, 0.4295)
Pm (0.9295, 0.9295, 0.9295)
Pr (0.0689, 0.5689, 0.9311)
Pr (0.1790, 0.1790, 0.1790)
Pr (0.1797, 0.8203, 0.3203)
Pr (0.3203, 0.1797, 0.8203)
Pr (0.3210, 0.8210, 0.6790)
Pr (0.4311, 0.4311, 0.4311)
Pr (0.5689, 0.9311, 0.0689)
Pr (0.6790, 0.3210, 0.8210)
Pr (0.6797, 0.6797, 0.6797)
Pr (0.8203, 0.3203, 0.1797)
Pr (0.8210, 0.6790, 0.3210)
Pr (0.9311, 0.0689, 0.5689)
Sb (0.0006, 0.7477, 0.6266)
Sb (0.1266, 0.4994, 0.2523)
Sb (0.2477, 0.8734, 0.9994)
Sb (0.2523, 0.1266, 0.4994)
Sb (0.3734, 0.5006, 0.7523)
Sb (0.4994, 0.2523, 0.1266)
Sb (0.5006, 0.7523, 0.3734)
Sb (0.6266, 0.0006, 0.7477)
Sb (0.7477, 0.6266, 0.0006)
Sb (0.7523, 0.3734, 0.5006)
Sb (0.8734, 0.9994, 0.2477)
Sb (0.9994, 0.2477, 0.8734)

Top 6 peaks for 2θ from 10° to 90°, sorted by position:
29.56 deg, rel. 100
35.14 deg, rel. 65
46.56 deg, rel. 17
48.58 deg, rel. 24
59.65 deg, rel. 25
72.72 deg, rel. 16

=====

What did the second record say?
This entry pairs a crystal structure of PmPr3Sb3 with its calculated powder XRD pattern. Radiation: λ = 1.5418 Å (Cu Kα). Structure: DFT lattice parameters and positions (PBE).
Peak positions follow from Bragg's law for the DFT cell and can differ from measured ones.

Atomic structure:
a = 9.5555 Å, b = 9.5555 Å, c = 9.5555 Å
α = 90.00°, β = 90.00°, γ = 90.00°
Fractional coordinates of all 28 atoms:
Pm (0.0705, 0.4295, 0.5705)
Pm (0.4295, 0.5705, 0.0705)
Pm (0.5705, 0.0705, 0.4295)
Pm (0.9295, 0.9295, 0.9295)
Pr (0.0689, 0.5689, 0.9311)
Pr (0.1790, 0.1790, 0.1790)
Pr (0.1797, 0.8203, 0.3203)
Pr (0.3203, 0.1797, 0.8203)
Pr (0.3210, 0.8210, 0.6790)
Pr (0.4311, 0.4311, 0.4311)
Pr (0.5689, 0.9311, 0.0689)
Pr (0.6790, 0.3210, 0.8210)
Pr (0.6797, 0.6797, 0.6797)
Pr (0.8203, 0.3203, 0.1797)
Pr (0.8210, 0.6790, 0.3210)
Pr (0.9311, 0.0689, 0.5689)
Sb (0.0006, 0.7477, 0.6266)
Sb (0.1266, 0.4994, 0.2523)
Sb (0.2477, 0.8734, 0.9994)
Sb (0.2523, 0.1266, 0.4994)
Sb (0.3734, 0.5006, 0.7523)
Sb (0.4994, 0.2523, 0.1266)
Sb (0.5006, 0.7523, 0.3734)
Sb (0.6266, 0.0006, 0.7477)
Sb (0.7477, 0.6266, 0.0006)
Sb (0.7523, 0.3734, 0.5006)
Sb (0.8734, 0.9994, 0.2477)
Sb (0.9994, 0.2477, 0.8734)

Top 6 peaks for 2θ from 10° to 90°, sorted by position:
29.56 deg, rel. 100
35.14 deg, rel. 65
46.56 deg, rel. 17
48.58 deg, rel. 24
59.65 deg, rel. 25
72.72 deg, rel. 16